Record 1
Calculated powder diffraction line list of Ca3Nb4O12F2 for Cu Kα X-rays, from DFT lattice parameters and positions (PBE).

Largest 6 diffraction maxima, in order of falling intensity, 2θ from 10° to 90°:
two_theta, Rel. int.
29.08, 100
14.42, 68
29.61, 36
48.29, 35
48.99, 34
27.91, 31

Lattice parameters (Å, degrees): 7.4393 7.4393 7.4393 60.89 60.89 60.89
Positions (direct):
1 Ca 0.0000 0.5000 0.5000
2 Ca 0.5000 0.0000 0.5000
3 Ca 0.5000 0.5000 0.0000
4 Nb 0.0000 0.0000 0.0000
5 Nb 0.0000 0.0000 0.5000
6 Nb 0.0000 0.5000 0.0000
7 Nb 0.5000 0.0000 0.0000
8 O 0.0560 0.6851 0.6851
9 O 0.0717 0.0717 0.6811
10 O 0.0717 0.6811 0.0717
11 O 0.3149 0.3149 0.9440
12 O 0.3149 0.9440 0.3149
13 O 0.3189 0.9283 0.9283
14 O 0.6811 0.0717 0.0717
15 O 0.6851 0.0560 0.6851
16 O 0.6851 0.6851 0.0560
17 O 0.9283 0.3189 0.9283
18 O 0.9283 0.9283 0.3189
19 O 0.9440 0.3149 0.3149
20 F 0.3593 0.3593 0.3593
21 F 0.6407 0.6407 0.6407



Record 2
Calculated powder diffraction line list of CaNbO12F2 for Cu Kα X-rays, from DFT lattice parameters and positions (PBE).

Largest 6 diffraction maxima, in order of falling intensity, 2θ from 10° to 90°:
two_theta, Rel. int.
41.16, 100
23.42, 98
14.28, 63
53.98, 38
43.79, 36
75.02, 21

Lattice parameters (Å, degrees): 7.5964 7.5964 7.5964 60.00 60.00 60.00
Positions (direct):
1 Ca 0.1250 0.1250 0.1250
2 Ca 0.8750 0.8750 0.8750
3 Nb 0.3750 0.3750 0.3750
4 Nb 0.6250 0.6250 0.6250
5 O 0.1073 0.3529 0.3529
6 O 0.1073 0.3529 0.6868
7 O 0.1073 0.6868 0.3529
8 O 0.3132 0.6471 0.6471
9 O 0.3132 0.6471 0.8927
10 O 0.3132 0.8927 0.6471
11 O 0.3529 0.1073 0.3529
12 O 0.3529 0.1073 0.6868
13 O 0.3529 0.3529 0.1073
14 O 0.3529 0.3529 0.6868
15 O 0.3529 0.6868 0.1073
16 O 0.3529 0.6868 0.3529
17 O 0.6471 0.3132 0.6471
18 O 0.6471 0.3132 0.8927
19 O 0.6471 0.6471 0.3132
20 O 0.6471 0.6471 0.8927
21 O 0.6471 0.8927 0.3132
22 O 0.6471 0.8927 0.6471
23 O 0.6868 0.1073 0.3529
24 O 0.6868 0.3529 0.1073
25 O 0.6868 0.3529 0.3529
26 O 0.8927 0.3132 0.6471
27 O 0.8927 0.6471 0.3132
28 O 0.8927 0.6471 0.6471
29 F 0.0000 0.0000 0.0000
30 F 0.0000 0.0000 0.5000
31 F 0.0000 0.5000 0.0000
32 F 0.5000 0.0000 0.0000



Record 3
Calculated powder diffraction line list of Ca7NbSi4O17F for Cu Kα X-rays, from DFT lattice parameters and positions (PBE).

Largest 6 diffraction maxima, in order of falling intensity, 2θ from 10° to 90°:
two_theta, Rel. int.
29.34, 100
30.98, 46
30.73, 39
27.21, 32
48.88, 25
11.98, 18

Lattice parameters (Å, degrees): 7.4525 10.5576 10.9693 90.00 109.47 90.00
Positions (direct):
1 Ca 0.0000 0.1191 0.0000
2 Ca 0.0000 0.8809 0.5000
3 Ca 0.2902 0.1653 0.6123
4 Ca 0.2902 0.8347 0.1123
5 Ca 0.3555 0.3464 0.2526
6 Ca 0.3555 0.6536 0.7526
7 Ca 0.4874 0.1268 0.0208
8 Ca 0.4874 0.8732 0.5208
9 Ca 0.6658 0.3674 0.8511
10 Ca 0.6658 0.6326 0.3511
11 Ca 0.7968 0.1495 0.6238
12 Ca 0.7968 0.8505 0.1238
13 Ca 0.8667 0.3367 0.2654
14 Ca 0.8667 0.6633 0.7654
15 Nb 0.1767 0.3594 0.8745
16 Nb 0.1767 0.6406 0.3745
17 Si 0.1052 0.0598 0.2992
18 Si 0.1052 0.9402 0.7992
19 Si 0.5565 0.4454 0.5686
20 Si 0.5565 0.5546 0.0686
21 Si 0.6679 0.0559 0.3090
22 Si 0.6679 0.9441 0.8090
23 Si 0.9769 0.4306 0.5543
24 Si 0.9769 0.5694 0.0543
25 O 0.0052 0.4993 0.9278
26 O 0.0052 0.5007 0.4278
27 O 0.0977 0.0213 0.6707
28 O 0.0977 0.9787 0.1707
29 O 0.1011 0.4875 0.6971
30 O 0.1011 0.5125 0.1971
31 O 0.1252 0.2106 0.2751
32 O 0.1252 0.7894 0.7751
33 O 0.2399 0.0080 0.4395
34 O 0.2399 0.9920 0.9395
35 O 0.2506 0.2782 0.0381
36 O 0.2506 0.7218 0.5381
37 O 0.3597 0.2676 0.8218
38 O 0.3597 0.7324 0.3218
39 O 0.3892 0.4917 0.4367
40 O 0.3892 0.5083 0.9367
41 O 0.5452 0.2970 0.6039
42 O 0.5452 0.7030 0.1039
43 O 0.5462 0.0314 0.6873
44 O 0.5462 0.9686 0.1873
45 O 0.5847 0.4708 0.1998
46 O 0.5847 0.5292 0.6998
47 O 0.6148 0.2048 0.2757
48 O 0.6148 0.7952 0.7757
49 O 0.6842 0.0052 0.4526
50 O 0.6842 0.9948 0.9526
51 O 0.7494 0.4727 0.5269
52 O 0.7494 0.5273 0.0269
53 O 0.8899 0.0294 0.3091
54 O 0.8899 0.9706 0.8091
55 O 0.9425 0.2649 0.8158
56 O 0.9425 0.7351 0.3158
57 O 0.9923 0.2790 0.5379
58 O 0.9923 0.7210 0.0379
59 F 0.7662 0.2517 0.0428
60 F 0.7662 0.7483 0.5428